(1)
# Tl5Pb7
Calculated powder diffraction line list, Cu Kα X-rays. Input: a cell relaxed with GGA-PBE.

Structural model:
```
data_Tl5Pb7
_cell_length_a 3.549
_cell_length_b 10.701
_cell_length_c 9.895
_cell_angle_alpha 90.00
_cell_angle_beta 90.00
_cell_angle_gamma 90.00
_symmetry_space_group_name_H-M 'P 1'
_symmetry_Int_Tables_number 1
_symmetry_space_group_name_Hall 'P 1'
loop_
_atom_site_label
_atom_site_fract_x
_atom_site_fract_y
_atom_site_fract_z
Tl1 0.000 0.000 0.000
Tl2 0.000 0.337 0.503
Tl3 0.000 0.663 0.503
Tl4 0.500 0.166 0.252
Tl5 0.500 0.834 0.252
Pb1 0.000 0.000 0.511
Pb2 0.000 0.334 0.001
Pb3 0.000 0.666 0.001
Pb4 0.500 0.166 0.750
Pb5 0.500 0.500 0.245
Pb6 0.500 0.500 0.757
Pb7 0.500 0.834 0.750
```

Most intense lines, 2θ = 5–70°, by angle:
d (Å), two_theta, I_rel
2.893, 30.90, 100
2.884, 31.01, 99
2.516, 35.69, 69
2.474, 36.32, 33
1.764, 51.83, 48
1.517, 61.09, 30
1.513, 61.27, 30
1.496, 62.03, 28
1.447, 64.40, 13
1.442, 64.64, 13

(2)
# Tl5Pb4
Calculated powder diffraction line list, Cu Kα X-rays. Input: a cell relaxed with GGA-PBE.

Structural model:
```
data_Tl5Pb4
_cell_length_a 9.779
_cell_length_b 9.779
_cell_length_c 6.843
_cell_angle_alpha 90.00
_cell_angle_beta 90.00
_cell_angle_gamma 120.00
_symmetry_space_group_name_H-M 'P 1'
_symmetry_Int_Tables_number 1
_symmetry_space_group_name_Hall 'P 1'
loop_
_atom_site_label
_atom_site_fract_x
_atom_site_fract_y
_atom_site_fract_z
Tl1 0.000 0.353 0.250
Tl2 0.000 0.647 0.750
Tl3 0.333 0.667 0.000
Tl4 0.333 0.667 0.500
Tl5 0.353 0.000 0.250
Tl6 0.353 0.353 0.750
Tl7 0.647 0.000 0.750
Tl8 0.647 0.647 0.250
Tl9 0.667 0.333 0.000
Tl10 0.667 0.333 0.500
Pb1 0.000 0.000 0.000
Pb2 0.000 0.000 0.500
Pb3 0.000 0.310 0.750
Pb4 0.000 0.690 0.250
Pb5 0.310 0.000 0.750
Pb6 0.310 0.310 0.250
Pb7 0.690 0.000 0.250
Pb8 0.690 0.690 0.750
```

Most intense lines, 2θ = 5–70°, by angle:
d (Å), two_theta, I_rel
2.899, 30.84, 8
2.823, 31.70, 100
2.803, 31.92, 92
2.177, 41.47, 9
1.989, 45.61, 33
1.711, 53.57, 8
1.630, 56.46, 17
1.626, 56.60, 33
1.463, 63.60, 28
1.411, 66.21, 10

(3)
# Tl5Pb3
Calculated powder diffraction line list, Cu Kα X-rays. Input: a cell relaxed with GGA-PBE.

Structural model:
```
data_Tl5Pb3
_cell_length_a 5.099
_cell_length_b 5.099
_cell_length_c 19.119
_cell_angle_alpha 90.00
_cell_angle_beta 90.00
_cell_angle_gamma 90.00
_symmetry_space_group_name_H-M 'P 1'
_symmetry_Int_Tables_number 1
_symmetry_space_group_name_Hall 'P 1'
loop_
_atom_site_label
_atom_site_fract_x
_atom_site_fract_y
_atom_site_fract_z
Tl1 0.000 0.000 0.000
Tl2 0.000 0.000 0.249
Tl3 0.000 0.000 0.751
Tl4 0.000 0.500 0.126
Tl5 0.000 0.500 0.374
Tl6 0.500 0.000 0.626
Tl7 0.500 0.000 0.874
Tl8 0.500 0.500 0.251
Tl9 0.500 0.500 0.500
Tl10 0.500 0.500 0.749
Pb1 0.000 0.000 0.500
Pb2 0.000 0.500 0.621
Pb3 0.000 0.500 0.879
Pb4 0.500 0.000 0.121
Pb5 0.500 0.000 0.379
Pb6 0.500 0.500 0.000
```

Most intense lines, 2θ = 5–70°, by angle:
d (Å), two_theta, I_rel
2.878, 31.07, 100
2.549, 35.20, 36
2.390, 37.64, 15
1.803, 50.64, 13
1.744, 52.48, 23
1.528, 60.61, 31
1.457, 63.88, 13
1.439, 64.78, 13

(4)
# TlPb6
Calculated powder diffraction line list, Cu Kα X-rays. Input: a cell relaxed with GGA-PBE.

Structural model:
```
data_TlPb6
_cell_length_a 6.614
_cell_length_b 6.614
_cell_length_c 10.809
_cell_angle_alpha 90.00
_cell_angle_beta 90.00
_cell_angle_gamma 90.00
_symmetry_space_group_name_H-M 'P 1'
_symmetry_Int_Tables_number 1
_symmetry_space_group_name_Hall 'P 1'
loop_
_atom_site_label
_atom_site_fract_x
_atom_site_fract_y
_atom_site_fract_z
Tl1 0.250 0.750 0.000
Tl2 0.750 0.250 0.000
Pb1 0.066 0.566 0.356
Pb2 0.066 0.934 0.644
Pb3 0.250 0.250 0.147
Pb4 0.250 0.250 0.853
Pb5 0.434 0.566 0.644
Pb6 0.434 0.934 0.356
Pb7 0.566 0.066 0.644
Pb8 0.566 0.434 0.356
Pb9 0.750 0.750 0.147
Pb10 0.750 0.750 0.853
Pb11 0.934 0.066 0.356
Pb12 0.934 0.434 0.644
```

Most intense lines, 2θ = 5–70°, by angle:
d (Å), two_theta, I_rel
3.162, 28.22, 94
2.854, 31.35, 100
2.702, 33.15, 19
2.595, 34.57, 51
2.436, 36.89, 36
2.339, 38.49, 45
1.654, 55.57, 35
1.538, 60.17, 26
1.431, 65.21, 23
1.399, 66.87, 19

(5)
# TlPb5
Calculated powder diffraction line list, Cu Kα X-rays. Input: a cell relaxed with GGA-PBE.

Structural model:
```
data_TlPb5
_cell_length_a 11.843
_cell_length_b 3.626
_cell_length_c 9.628
_cell_angle_alpha 90.00
_cell_angle_beta 114.15
_cell_angle_gamma 90.00
_symmetry_space_group_name_H-M 'P 1'
_symmetry_Int_Tables_number 1
_symmetry_space_group_name_Hall 'P 1'
loop_
_atom_site_label
_atom_site_fract_x
_atom_site_fract_y
_atom_site_fract_z
Tl1 0.000 0.000 0.000
Tl2 0.500 0.500 0.000
Pb1 0.000 0.000 0.500
Pb2 0.165 0.500 0.832
Pb3 0.170 0.500 0.335
Pb4 0.330 0.000 0.665
Pb5 0.335 0.000 0.168
Pb6 0.500 0.500 0.500
Pb7 0.665 0.000 0.832
Pb8 0.670 0.000 0.335
Pb9 0.830 0.500 0.665
Pb10 0.835 0.500 0.168
```

Most intense lines, 2θ = 5–70°, by angle:
d (Å), two_theta, I_rel
2.894, 30.90, 100
2.880, 31.05, 33
2.555, 35.12, 48
2.407, 37.36, 20
1.754, 52.15, 16
1.750, 52.26, 16
1.535, 60.30, 21
1.531, 60.48, 10
1.528, 60.59, 10
1.467, 63.38, 13

(6)
# Tl5Pb
Calculated powder diffraction line list, Cu Kα X-rays. Input: a cell relaxed with GGA-PBE.

Structural model:
```
data_Tl5Pb
_cell_length_a 3.416
_cell_length_b 3.416
_cell_length_c 15.907
_cell_angle_alpha 90.00
_cell_angle_beta 90.00
_cell_angle_gamma 90.00
_symmetry_space_group_name_H-M 'P 1'
_symmetry_Int_Tables_number 1
_symmetry_space_group_name_Hall 'P 1'
loop_
_atom_site_label
_atom_site_fract_x
_atom_site_fract_y
_atom_site_fract_z
Tl1 0.000 0.000 0.000
Tl2 0.000 0.000 0.335
Tl3 0.000 0.000 0.665
Tl4 0.500 0.500 0.164
Tl5 0.500 0.500 0.836
Pb1 0.500 0.500 0.500
```

Most intense lines, 2θ = 5–70°, by angle:
d (Å), two_theta, I_rel
2.871, 31.15, 100
2.651, 33.81, 20
2.415, 37.23, 31
1.785, 51.16, 26
1.708, 53.67, 11
1.570, 58.83, 17
1.468, 63.37, 27
1.436, 64.95, 13

(7)
# Tl5Pb4
Calculated powder diffraction line list, Cu Kα X-rays. Input: a cell relaxed with GGA-PBE.

Structural model:
```
data_Tl5Pb4
_cell_length_a 8.969
_cell_length_b 8.969
_cell_length_c 8.969
_cell_angle_alpha 92.40
_cell_angle_beta 92.40
_cell_angle_gamma 156.39
_symmetry_space_group_name_H-M 'P 1'
_symmetry_Int_Tables_number 1
_symmetry_space_group_name_Hall 'P 1'
loop_
_atom_site_label
_atom_site_fract_x
_atom_site_fract_y
_atom_site_fract_z
Tl1 0.000 0.000 0.000
Tl2 0.333 0.333 0.666
Tl3 0.333 0.667 0.000
Tl4 0.667 0.333 0.000
Tl5 0.667 0.667 0.334
Pb1 0.000 0.336 0.336
Pb2 0.000 0.664 0.664
Pb3 0.336 0.000 0.336
Pb4 0.664 0.000 0.664
```

Most intense lines, 2θ = 5–70°, by angle:
d (Å), two_theta, I_rel
2.926, 30.55, 59
2.746, 32.61, 100
2.069, 43.75, 23
1.835, 49.69, 8
1.653, 55.62, 45
1.555, 59.46, 19
1.463, 63.59, 8
1.373, 68.32, 12

(8)
# Tl7Pb
Calculated powder diffraction line list, Cu Kα X-rays. Input: a cell relaxed with GGA-PBE.

Structural model:
```
data_Tl7Pb
_cell_length_a 7.018
_cell_length_b 7.018
_cell_length_c 7.018
_cell_angle_alpha 60.00
_cell_angle_beta 60.00
_cell_angle_gamma 60.00
_symmetry_space_group_name_H-M 'P 1'
_symmetry_Int_Tables_number 1
_symmetry_space_group_name_Hall 'P 1'
loop_
_atom_site_label
_atom_site_fract_x
_atom_site_fract_y
_atom_site_fract_z
Tl1 0.000 0.000 0.000
Tl2 0.000 0.000 0.500
Tl3 0.000 0.500 0.000
Tl4 0.000 0.500 0.500
Tl5 0.500 0.000 0.000
Tl6 0.500 0.000 0.500
Tl7 0.500 0.500 0.000
Pb1 0.500 0.500 0.500
```

Most intense lines, 2θ = 5–70°, by angle:
d (Å), two_theta, I_rel
2.865, 31.22, 100
2.481, 36.21, 51
1.754, 52.13, 37
1.496, 62.03, 44
1.432, 65.12, 13

(9)
# Tm3Tl2Pb3
Calculated powder diffraction line list, Cu Kα X-rays. Input: a cell relaxed with GGA-PBE.

Structural model:
```
data_Tm3Tl2Pb3
_cell_length_a 3.560
_cell_length_b 5.462
_cell_length_c 23.292
_cell_angle_alpha 90.00
_cell_angle_beta 90.00
_cell_angle_gamma 90.00
_symmetry_space_group_name_H-M 'P 1'
_symmetry_Int_Tables_number 1
_symmetry_space_group_name_Hall 'P 1'
loop_
_atom_site_label
_atom_site_fract_x
_atom_site_fract_y
_atom_site_fract_z
Tm1 0.000 0.000 0.000
Tm2 0.000 0.500 0.122
Tm3 0.000 0.500 0.878
Tm4 0.500 0.000 0.378
Tm5 0.500 0.000 0.622
Tm6 0.500 0.500 0.500
Tl1 0.000 0.000 0.257
Tl2 0.000 0.000 0.743
Tl3 0.500 0.500 0.243
Tl4 0.500 0.500 0.757
Pb1 0.000 0.000 0.500
Pb2 0.000 0.500 0.372
Pb3 0.000 0.500 0.628
Pb4 0.500 0.000 0.128
Pb5 0.500 0.000 0.872
Pb6 0.500 0.500 0.000
```

Most intense lines, 2θ = 5–70°, by angle:
d (Å), two_theta, I_rel
2.912, 30.71, 31
2.731, 32.80, 27
2.655, 33.77, 100
1.992, 45.54, 21
1.780, 51.33, 8
1.627, 56.57, 21
1.562, 59.17, 20
1.519, 61.01, 9
1.491, 62.26, 9
1.456, 63.95, 3

(10)
# Tm6Tl4Pb7
Calculated powder diffraction line list, Cu Kα X-rays. Input: a cell relaxed with GGA-PBE.

Structural model:
```
data_Tm6Tl4Pb7
_cell_length_a 8.659
_cell_length_b 8.659
_cell_length_c 8.659
_cell_angle_alpha 109.47
_cell_angle_beta 109.47
_cell_angle_gamma 109.47
_symmetry_space_group_name_H-M 'P 1'
_symmetry_Int_Tables_number 1
_symmetry_space_group_name_Hall 'P 1'
loop_
_atom_site_label
_atom_site_fract_x
_atom_site_fract_y
_atom_site_fract_z
Tm1 0.000 0.292 0.292
Tm2 0.000 0.708 0.708
Tm3 0.292 0.000 0.292
Tm4 0.292 0.292 0.000
Tm5 0.708 0.000 0.708
Tm6 0.708 0.708 0.000
Tl1 0.000 0.000 0.500
Tl2 0.000 0.500 0.000
Tl3 0.500 0.000 0.000
Tl4 0.500 0.500 0.500
Pb1 0.000 0.000 0.000
Pb2 0.250 0.500 0.750
Pb3 0.250 0.750 0.500
Pb4 0.500 0.250 0.750
Pb5 0.500 0.750 0.250
Pb6 0.750 0.250 0.500
Pb7 0.750 0.500 0.250
```

Most intense lines, 2θ = 5–70°, by angle:
d (Å), two_theta, I_rel
2.886, 30.98, 100
2.672, 33.54, 15
2.500, 35.93, 66
2.357, 38.19, 6
2.132, 42.40, 12
1.767, 51.72, 42
1.507, 61.52, 35
1.474, 63.06, 7
1.443, 64.58, 13
1.361, 69.03, 8

(11)
# UTlPb
Calculated powder diffraction line list, Cu Kα X-rays. Input: a cell relaxed with GGA-PBE.

Structural model:
```
data_UTlPb
_cell_length_a 5.319
_cell_length_b 17.851
_cell_length_c 3.657
_cell_angle_alpha 90.00
_cell_angle_beta 90.00
_cell_angle_gamma 90.00
_symmetry_space_group_name_H-M 'P 1'
_symmetry_Int_Tables_number 1
_symmetry_space_group_name_Hall 'P 1'
loop_
_atom_site_label
_atom_site_fract_x
_atom_site_fract_y
_atom_site_fract_z
U1 0.000 0.046 0.250
U2 0.000 0.954 0.750
U3 0.500 0.454 0.750
U4 0.500 0.546 0.250
Tl1 0.000 0.230 0.250
Tl2 0.000 0.770 0.750
Tl3 0.500 0.270 0.750
Tl4 0.500 0.730 0.250
Pb1 0.000 0.416 0.250
Pb2 0.000 0.584 0.750
Pb3 0.500 0.084 0.750
Pb4 0.500 0.916 0.250
```

Most intense lines, 2θ = 5–70°, by angle:
d (Å), two_theta, I_rel
8.925, 9.91, 17
2.972, 30.06, 100
2.964, 30.15, 30
2.688, 33.33, 17
2.659, 33.70, 43
2.304, 39.10, 88
1.743, 52.50, 17
1.589, 58.06, 17
1.552, 59.56, 16
1.457, 63.91, 17

(12)
# TlPbW2
Calculated powder diffraction line list, Cu Kα X-rays. Input: a cell relaxed with GGA-PBE.

Structural model:
```
data_TlPbW2
_cell_length_a 3.322
_cell_length_b 5.046
_cell_length_c 10.950
_cell_angle_alpha 90.00
_cell_angle_beta 90.00
_cell_angle_gamma 90.00
_symmetry_space_group_name_H-M 'P 1'
_symmetry_Int_Tables_number 1
_symmetry_space_group_name_Hall 'P 1'
loop_
_atom_site_label
_atom_site_fract_x
_atom_site_fract_y
_atom_site_fract_z
Tl1 0.000 0.000 0.000
Tl2 0.500 0.500 0.000
Pb1 0.000 0.500 0.664
Pb2 0.500 0.000 0.664
W1 0.000 0.000 0.424
W2 0.000 0.500 0.248
W3 0.500 0.000 0.248
W4 0.500 0.500 0.424
```

Most intense lines, 2θ = 5–70°, by angle:
d (Å), two_theta, I_rel
10.950, 8.07, 22
3.650, 24.39, 21
2.737, 32.71, 12
2.523, 35.58, 34
2.475, 36.30, 100
2.209, 40.85, 22
1.719, 53.29, 17
1.447, 64.37, 19
1.387, 67.51, 16
1.363, 68.91, 13